This entry pairs a crystal structure of MgMn5CuO12 with its computed X-ray diffraction stick pattern. Radiation: CuKα. Structure: DFT lattice parameters and positions (PBE+U).

Structure:
```
data_MgMn5CuO12
_cell_length_a 5.071
_cell_length_b 5.071
_cell_length_c 9.935
_cell_angle_alpha 93.90
_cell_angle_beta 93.90
_cell_angle_gamma 118.92
_space_group_name_H-M_alt 'P 1'
_space_group_IT_number 1
loop_
_space_group_symop_operation_xyz
'x,y,z'
loop_
_atom_site_label
_atom_site_type_symbol
_atom_site_fract_x
_atom_site_fract_y
_atom_site_fract_z
_atom_site_occupancy
Mg1 Mg 0.000 0.000 0.000 1
Mn1 Mn 0.094 0.094 0.276 1
Mn2 Mn 0.288 0.952 0.754 1
Mn3 Mn 0.421 0.756 0.256 1
Mn4 Mn 0.756 0.421 0.256 1
Mn5 Mn 0.952 0.288 0.754 1
Cu1 Cu 0.615 0.615 0.751 1
O1 O 0.051 0.365 0.154 1
O2 O 0.124 0.781 0.359 1
O3 O 0.247 0.591 0.658 1
O4 O 0.281 0.281 0.864 1
O5 O 0.365 0.051 0.154 1
O6 O 0.455 0.455 0.356 1
O7 O 0.591 0.247 0.658 1
O8 O 0.660 0.989 0.860 1
O9 O 0.752 0.752 0.157 1
O10 O 0.781 0.124 0.359 1
O11 O 0.946 0.946 0.655 1
O12 O 0.989 0.660 0.860 1
```

Largest 10 diffraction maxima, in order of rising 2θ, 10° ≤ 2θ ≤ 90°:
2theta, I (rel.)
18.02, 100
35.15, 9
36.07, 17
37.29, 14
37.44, 8
41.99, 9
43.71, 15
46.78, 18
57.36, 10
62.85, 10